No. 1
Structure and calculated powder diffraction line list of K2Re3Se4O7 (a cell relaxed with PBE; Cu Kα).
Neutral-atom scattering factors, no anomalous dispersion.

Most intense lines, 15 to 90 degrees two-theta, sorted by position:
- d 4.202, intensity 81
- d 4.043, intensity 56
- d 3.895, intensity 64
- d 3.834, intensity 88
- d 3.566, intensity 100
- d 3.397, intensity 71
- d 3.233, intensity 56
- d 2.912, intensity 80
- d 2.528, intensity 52
- d 2.248, intensity 59
- d 2.059, intensity 80
- d 1.945, intensity 51

Unit cell a=9.3015 b=9.8356 c=10.2396 alpha=86.61 beta=66.42 gamma=64.48
Atoms (fractional coordinates):
K 0.0890 0.3387 0.1150
K 0.3006 0.7055 0.1127
K 0.6994 0.2945 0.8873
K 0.9110 0.6613 0.8850
Re 0.1813 0.2132 0.6104
Re 0.3854 0.8130 0.4657
Re 0.4556 0.9157 0.8075
Re 0.5444 0.0843 0.1925
Re 0.6146 0.1870 0.5343
Re 0.8187 0.7868 0.3896
Se 0.2046 0.9688 0.7075
Se 0.2493 0.0617 0.3861
Se 0.3518 0.2049 0.7480
Se 0.3945 0.2954 0.4297
Se 0.6055 0.7046 0.5703
Se 0.6482 0.7951 0.2520
Se 0.7507 0.9383 0.6139
Se 0.7954 0.0312 0.2925
O 0.0279 0.6417 0.3097
O 0.1804 0.5676 0.9661
O 0.2667 0.0042 0.9686
O 0.3107 0.6903 0.4409
O 0.3185 0.5453 0.8328
O 0.3842 0.2277 0.1479
O 0.4503 0.5626 0.8422
O 0.5497 0.4374 0.1578
O 0.6158 0.7723 0.8521
O 0.6815 0.4547 0.1672
O 0.6893 0.3097 0.5591
O 0.7333 0.9958 0.0314
O 0.8196 0.4324 0.0339
O 0.9721 0.3583 0.6903



No. 2
Structure and calculated powder diffraction line list of K4Re6Se8O11 (a cell relaxed with PBE; Cu Kα).
Neutral-atom scattering factors, no anomalous dispersion.

Most intense lines, 15 to 90 degrees two-theta, sorted by position:
- d 5.832, intensity 63
- d 3.466, intensity 41
- d 2.916, intensity 42
- d 2.746, intensity 76
- d 2.602, intensity 100
- d 2.338, intensity 42
- d 2.107, intensity 45
- d 2.070, intensity 38
- d 2.048, intensity 68
- d 1.996, intensity 48
- d 1.967, intensity 37
- d 1.942, intensity 46

Unit cell a=8.3314 b=8.8901 c=9.6115 alpha=90.17 beta=106.26 gamma=110.34
Atoms (fractional coordinates):
K 0.0000 0.0000 0.0000
K 0.1059 0.6553 0.7528
K 0.2916 0.1710 0.7277
K 0.8171 0.4536 0.0309
Re 0.3538 0.8400 0.2295
Re 0.4257 0.6150 0.3797
Re 0.4761 0.8996 0.5520
Re 0.6498 0.7842 0.2298
Re 0.7399 0.1036 0.3998
Re 0.7712 0.8451 0.5402
Se 0.1586 0.7108 0.3925
Se 0.2420 0.3874 0.9857
Se 0.4267 0.1021 0.3762
Se 0.5497 0.6510 0.6503
Se 0.5851 0.0221 0.1211
Se 0.7170 0.5795 0.3999
Se 0.7604 0.1450 0.6663
Se 0.9619 0.9606 0.3741
O 0.0152 0.2989 0.9720
O 0.1693 0.7454 0.0713
O 0.2382 0.4294 0.8100
O 0.2735 0.4186 0.3085
O 0.3175 0.2279 0.0066
O 0.3940 0.9000 0.7073
O 0.6465 0.3034 0.7150
O 0.6485 0.6760 0.0734
O 0.7408 0.4660 0.7257
O 0.9126 0.2835 0.3960
O 0.9587 0.9098 0.7091



No. 3
Structure and calculated powder diffraction line list of K2Rh2O5 (a cell relaxed with PBE; Cu Kα).
Neutral-atom scattering factors, no anomalous dispersion.

Most intense lines, 15 to 90 degrees two-theta, sorted by position:
- d 4.360, intensity 29
- d 3.891, intensity 31
- d 2.903, intensity 100
- d 2.751, intensity 35
- d 2.180, intensity 17
- d 1.945, intensity 28
- d 1.777, intensity 9
- d 1.709, intensity 15
- d 1.616, intensity 33
- d 1.452, intensity 16
- d 1.376, intensity 8
- d 1.361, intensity 10

Unit cell a=3.8909 b=3.8909 c=8.7204 alpha=90.00 beta=90.00 gamma=90.00
Atoms (fractional coordinates):
K 0.0000 0.0000 0.0000
K 0.0000 0.0000 0.5000
Rh 0.5000 0.5000 0.2296
Rh 0.5000 0.5000 0.7704
O 0.0000 0.5000 0.2716
O 0.0000 0.5000 0.7284
O 0.5000 0.0000 0.2716
O 0.5000 0.0000 0.7284
O 0.5000 0.5000 0.0000



No. 4
Structure and calculated powder diffraction line list of KRhO3 (a cell relaxed with PBE; Cu Kα).
Neutral-atom scattering factors, no anomalous dispersion.

Most intense lines, 15 to 90 degrees two-theta, sorted by position:
- d 3.992, intensity 49
- d 2.822, intensity 100
- d 2.305, intensity 1
- d 1.996, intensity 39
- d 1.785, intensity 20
- d 1.630, intensity 37
- d 1.411, intensity 22
- d 1.331, intensity 9
- d 1.262, intensity 16
- d 1.204, intensity 1
- d 1.152, intensity 7
- d 1.107, intensity 4

Unit cell a=3.9916 b=3.9916 c=3.9916 alpha=90.00 beta=90.00 gamma=90.00
Atoms (fractional coordinates):
K 0.0000 0.0000 0.0000
Rh 0.5000 0.5000 0.5000
O 0.0000 0.5000 0.5000
O 0.5000 0.0000 0.5000
O 0.5000 0.5000 0.0000



No. 5
Structure and calculated powder diffraction line list of KRuO2 (a cell relaxed with PBE; Cu Kα).
Neutral-atom scattering factors, no anomalous dispersion.

Most intense lines, 15 to 90 degrees two-theta, sorted by position:
- d 5.683, intensity 49
- d 3.511, intensity 26
- d 3.157, intensity 73
- d 2.841, intensity 100
- d 2.250, intensity 51
- d 1.832, intensity 49
- d 1.756, intensity 28
- d 1.591, intensity 15
- d 1.421, intensity 19
- d 1.388, intensity 27
- d 1.292, intensity 13
- d 1.179, intensity 16

Unit cell a=7.7539 b=7.7539 c=7.7539 alpha=131.55 beta=131.55 gamma=70.94
Atoms (fractional coordinates):
K 0.0000 0.0000 0.0000
K 0.0000 0.0000 0.5000
K 0.0000 0.5000 0.0000
K 0.5000 0.0000 0.5000
Ru 0.0000 0.5000 0.5000
Ru 0.5000 0.0000 0.0000
Ru 0.5000 0.5000 0.0000
Ru 0.5000 0.5000 0.5000
O 0.2239 0.2881 0.5642
O 0.2239 0.6597 0.9358
O 0.2881 0.2239 0.0642
O 0.3403 0.7761 0.5642
O 0.6597 0.2239 0.4358
O 0.7119 0.7761 0.9358
O 0.7761 0.3403 0.0642
O 0.7761 0.7119 0.4358



No. 6
Structure and calculated powder diffraction line list of KRu4O8 (a cell relaxed with PBE; Cu Kα).
Neutral-atom scattering factors, no anomalous dispersion.

Most intense lines, 15 to 90 degrees two-theta, sorted by position:
- d 4.992, intensity 37
- d 3.158, intensity 79
- d 2.593, intensity 100
- d 2.496, intensity 20
- d 2.353, intensity 16
- d 2.301, intensity 12
- d 1.928, intensity 39
- d 1.664, intensity 17
- d 1.602, intensity 43
- d 1.592, intensity 11
- d 1.422, intensity 13
- d 1.400, intensity 26

Unit cell a=7.2377 b=7.2377 c=7.2377 alpha=92.77 beta=92.77 gamma=154.58
Atoms (fractional coordinates):
K 0.0000 0.0000 0.0000
Ru 0.1480 0.3333 0.4813
Ru 0.3333 0.8520 0.1853
Ru 0.6667 0.1480 0.8147
Ru 0.8520 0.6667 0.5187
O 0.0466 0.6561 0.7027
O 0.2997 0.6505 0.9502
O 0.3439 0.0466 0.3905
O 0.3495 0.2997 0.6493
O 0.6505 0.7003 0.3507
O 0.6561 0.9534 0.6095
O 0.7003 0.3495 0.0498
O 0.9534 0.3439 0.2973



No. 7
Structure and calculated powder diffraction line list of K2SO3 (a cell relaxed with PBE; Cu Kα).
Neutral-atom scattering factors, no anomalous dispersion.

Most intense lines, 15 to 90 degrees two-theta, sorted by position:
- d 4.213, intensity 13
- d 3.558, intensity 14
- d 3.018, intensity 89
- d 2.941, intensity 100
- d 2.453, intensity 16
- d 2.106, intensity 57
- d 1.742, intensity 12
- d 1.727, intensity 22
- d 1.684, intensity 12
- d 1.509, intensity 16
- d 1.343, intensity 16
- d 1.322, intensity 17

Unit cell a=6.0360 b=6.0360 c=7.1166 alpha=90.00 beta=90.00 gamma=120.00
Atoms (fractional coordinates):
K 0.0000 0.0000 0.0000
K 0.0000 0.0000 0.5000
K 0.3333 0.6667 0.1773
K 0.6667 0.3333 0.8227
S 0.3333 0.6667 0.6813
S 0.6667 0.3333 0.3187
O 0.1979 0.3957 0.7677
O 0.1979 0.8021 0.7677
O 0.3957 0.1979 0.2323
O 0.6043 0.8021 0.7677
O 0.8021 0.1979 0.2323
O 0.8021 0.6043 0.2323



No. 8
Structure and calculated powder diffraction line list of KSO6 (a cell relaxed with PBE; Cu Kα).
Neutral-atom scattering factors, no anomalous dispersion.

Most intense lines, 15 to 90 degrees two-theta, sorted by position:
- d 4.831, intensity 90
- d 4.143, intensity 37
- d 3.590, intensity 75
- d 3.485, intensity 100
- d 3.464, intensity 22
- d 3.262, intensity 33
- d 3.097, intensity 30
- d 2.994, intensity 28
- d 2.847, intensity 92
- d 2.447, intensity 38
- d 2.130, intensity 48
- d 2.066, intensity 26

Unit cell a=10.4211 b=10.4211 c=7.8467 alpha=91.84 beta=91.84 gamma=43.84
Atoms (fractional coordinates):
K 0.0698 0.3031 0.3699
K 0.3031 0.0698 0.8699
K 0.6969 0.9302 0.1301
K 0.9302 0.6969 0.6301
S 0.2133 0.4809 0.1559
S 0.4809 0.2133 0.6559
S 0.5191 0.7867 0.3441
S 0.7867 0.5191 0.8441
O 0.0316 0.7758 0.9573
O 0.0413 0.5896 0.2505
O 0.1252 0.5995 0.9475
O 0.2244 0.6581 0.5455
O 0.2242 0.9684 0.5427
O 0.2943 0.3015 0.0942
O 0.3015 0.2943 0.5942
O 0.3365 0.4924 0.2161
O 0.3419 0.7756 0.9545
O 0.4005 0.8748 0.5525
O 0.4104 0.9587 0.2495
O 0.4924 0.3365 0.7161
O 0.5076 0.6635 0.2839
O 0.5896 0.0413 0.7505
O 0.5995 0.1252 0.4475
O 0.6581 0.2244 0.0455
O 0.6635 0.5076 0.7839
O 0.6985 0.7057 0.4058
O 0.7057 0.6985 0.9058
O 0.7758 0.0316 0.4573
O 0.7756 0.3419 0.4545
O 0.8748 0.4005 0.0525
O 0.9587 0.4104 0.7495
O 0.9684 0.2242 0.0427



No. 9
Structure and calculated powder diffraction line list of K2SO3 (a cell relaxed with PBE; Cu Kα).
Neutral-atom scattering factors, no anomalous dispersion.

Most intense lines, 15 to 90 degrees two-theta, sorted by position:
- d 4.561, intensity 58
- d 3.571, intensity 22
- d 3.146, intensity 24
- d 2.998, intensity 10
- d 2.931, intensity 100
- d 2.706, intensity 33
- d 2.468, intensity 16
- d 2.281, intensity 20
- d 2.237, intensity 12
- d 2.170, intensity 11
- d 1.772, intensity 13
- d 1.553, intensity 11

Unit cell a=7.1936 b=7.1936 c=6.2917 alpha=90.06 beta=90.06 gamma=112.91
Atoms (fractional coordinates):
K 0.0770 0.9230 0.5000
K 0.4322 0.6285 0.9933
K 0.6285 0.4322 0.4933
K 0.9230 0.0770 0.0000
S 0.1221 0.4406 0.4986
S 0.4406 0.1221 0.9986
O 0.2108 0.3521 0.3266
O 0.2805 0.9440 0.1064
O 0.3521 0.2108 0.8266
O 0.7284 0.7822 0.2797
O 0.7822 0.7284 0.7797
O 0.9440 0.2805 0.6064



No. 10
Structure and calculated powder diffraction line list of K2SO4 (a cell relaxed with PBE; Cu Kα).
Neutral-atom scattering factors, no anomalous dispersion.

Most intense lines, 15 to 90 degrees two-theta, sorted by position:
- d 4.230, intensity 23
- d 3.798, intensity 16
- d 3.047, intensity 100
- d 2.954, intensity 97
- d 2.934, intensity 62
- d 2.543, intensity 19
- d 2.458, intensity 29
- d 2.415, intensity 13
- d 2.265, intensity 15
- d 2.245, intensity 16
- d 2.115, intensity 31
- d 1.921, intensity 16

Unit cell a=7.5963 b=5.8676 c=10.2586 alpha=90.00 beta=90.00 gamma=90.00
Atoms (fractional coordinates):
K 0.0075 0.2500 0.2026
K 0.1736 0.7500 0.4137
K 0.3264 0.2500 0.9137
K 0.4925 0.7500 0.7026
K 0.5075 0.2500 0.2974
K 0.6736 0.7500 0.0863
K 0.8264 0.2500 0.5863
K 0.9925 0.7500 0.7974
S 0.2309 0.7500 0.0807
S 0.2691 0.2500 0.5807
S 0.7309 0.7500 0.4193
S 0.7691 0.2500 0.9193
O 0.0352 0.7500 0.0806
O 0.1999 0.2500 0.4435
O 0.2023 0.0416 0.6491
O 0.2023 0.4584 0.6491
O 0.2977 0.5416 0.1491
O 0.2977 0.9584 0.1491
O 0.3001 0.7500 0.9435
O 0.4648 0.2500 0.5806
O 0.5352 0.7500 0.4194
O 0.6999 0.2500 0.0565
O 0.7023 0.0416 0.8509
O 0.7023 0.4584 0.8509
O 0.7977 0.5416 0.3509
O 0.7977 0.9584 0.3509
O 0.8001 0.7500 0.5565
O 0.9648 0.2500 0.9194



No. 11
Structure and calculated powder diffraction line list of K2SO4 (a cell relaxed with PBE; Cu Kα).
Neutral-atom scattering factors, no anomalous dispersion.

Most intense lines, 15 to 90 degrees two-theta, sorted by position:
- d 4.361, intensity 11
- d 3.975, intensity 21
- d 3.161, intensity 100
- d 3.133, intensity 17
- d 3.037, intensity 45
- d 2.962, intensity 73
- d 2.180, intensity 31
- d 2.143, intensity 18
- d 1.987, intensity 13
- d 1.737, intensity 25
- d 1.650, intensity 21
- d 1.188, intensity 12

Unit cell a=5.9268 b=5.9268 c=7.9498 alpha=90.00 beta=90.00 gamma=118.36
Atoms (fractional coordinates):
K 0.0000 0.0000 0.0000
K 0.0000 0.0000 0.5000
K 0.3246 0.6754 0.7500
K 0.6754 0.3246 0.2500
S 0.3344 0.6656 0.2500
S 0.6656 0.3344 0.7500
O 0.2202 0.3787 0.2500
O 0.2497 0.7503 0.0979
O 0.2497 0.7503 0.4021
O 0.3787 0.2202 0.7500
O 0.6213 0.7798 0.2500
O 0.7503 0.2497 0.5979
O 0.7503 0.2497 0.9021
O 0.7798 0.6213 0.7500